Starting from a DFT-relaxed cell (GGA+U, Alexandria), the X-ray diffraction stick pattern of SrLa2Mn3O9 was calculated for Cu Kα X-rays.
Intensities are scaled so that the largest is 100.

Atomic structure:
abc: 5.590 5.590 13.460
angles: 90.00 90.00 120.00
Sites, in units of the cell vectors:
Sr 0.000 0.000 0.250
Sr 0.000 0.000 0.750
La 0.333 0.667 0.085
La 0.333 0.667 0.585
La 0.667 0.333 0.415
La 0.667 0.333 0.915
Mn 0.000 0.000 0.000
Mn 0.000 0.000 0.500
Mn 0.333 0.667 0.333
Mn 0.333 0.667 0.833
Mn 0.667 0.333 0.167
Mn 0.667 0.333 0.667
O 0.000 0.454 0.250
O 0.000 0.546 0.750
O 0.108 0.338 0.920
O 0.108 0.770 0.420
O 0.230 0.338 0.420
O 0.230 0.892 0.920
O 0.338 0.108 0.580
O 0.338 0.230 0.080
O 0.454 0.000 0.250
O 0.454 0.454 0.750
O 0.546 0.000 0.750
O 0.546 0.546 0.250
O 0.662 0.770 0.920
O 0.662 0.892 0.420
O 0.770 0.108 0.080
O 0.770 0.662 0.580
O 0.892 0.230 0.580
O 0.892 0.662 0.080

The 8 most intense peaks (2θ = 10–90°), low angle first:
d [Å]	I (rel.)	h k l
3.930	24	1 0 2
2.795	98	1 1 0
2.763	100	0 1 4
2.278	25	0 2 2
1.965	64	2 0 4
1.614	23	3 0 0
1.607	40	1 2 4
1.589	19	1 0 8